Entry 1:
Diffraction record for CeAs2Au. The powder diffractogram is theoretical, not measured: it uses a DFT-relaxed cell (GGA-PBE, the Materials Project) and copper Kα.
Intensities are scaled so that the largest is 100.

Cell and atoms:
a = 4.1398 Å, b = 4.1398 Å, c = 9.9817 Å
α = 90.00°, β = 90.00°, γ = 90.00°
Space group P4/nmm (No. 129, origin choice 2)
One atom of each set of equivalent atoms:
Ce (0.2500, 0.2500, 0.2269) [2 per cell]
As (0.2500, 0.2500, 0.6929) [2 per cell]
As (0.2500, 0.7500, 0.0000) [2 per cell]
Au (0.2500, 0.7500, 0.5000) [2 per cell]

Top 12 peaks for 2θ = 10–90°, sorted by position:
h k l, d_spacing, Position (°2θ), Rel. int.
1 0 1, 3.824, 23.3, 6
1 0 2, 3.186, 28.0, 7
1 1 1, 2.809, 31.9, 8
1 1 2, 2.525, 35.6, 100
0 0 4, 2.495, 36.0, 18
1 0 4, 2.137, 42.3, 7
2 0 0, 2.070, 43.7, 31
2 0 4, 1.593, 57.9, 18
2 2 0, 1.464, 63.6, 10
1 1 6, 1.447, 64.4, 10
3 1 2, 1.266, 75.0, 23
2 2 4, 1.263, 75.3, 8

Entry 2:
Diffraction record for K2AsAuCl6. The powder diffractogram is theoretical, not measured: it uses a DFT-relaxed cell (GGA-PBE, the Materials Project) and copper Kα.
Intensities are scaled so that the largest is 100.

Cell and atoms:
a = 10.3888 Å, b = 10.3888 Å, c = 10.3888 Å
α = 90.00°, β = 90.00°, γ = 90.00°
Space group Fm-3m (No. 225)
One atom of each set of equivalent atoms:
K (0.2500, 0.2500, 0.2500) [8 per cell]
As (0.0000, 0.0000, 0.0000) [4 per cell]
Au (0.0000, 0.0000, 0.5000) [4 per cell]
Cl (0.0000, 0.0000, 0.2426) [24 per cell]

Top 12 peaks for 2θ = 10–90°, sorted by position:
h k l, d_spacing, Position (°2θ), Rel. int.
1 1 1, 5.998, 14.8, 28
2 0 0, 5.194, 17.1, 100
2 2 0, 3.673, 24.2, 100
3 1 1, 3.132, 28.5, 25
4 0 0, 2.597, 34.5, 81
4 2 0, 2.323, 38.8, 51
4 2 2, 2.121, 42.6, 46
4 4 0, 1.837, 49.6, 54
6 0 0, 1.731, 52.9, 26
6 2 0, 1.643, 56.0, 21
6 4 2, 1.388, 67.5, 24
8 4 0, 1.162, 83.2, 23